Entry 1:
Diffraction record for Li5Cu5Sb2O12. The X-ray powder pattern is calculated, not measured: it uses a DFT-relaxed cell (GGA-PBE, the Materials Project) and λ = 1.5418 Å (Cu Kα).

Atomic structure:
a = 5.716 Å, b = 8.715 Å, c = 9.892 Å
α = 90.00°, β = 92.25°, γ = 90.00°
Space group C2 (No. 5)
Unique sites:
Li  0.000  0.000  0.000 x2
Li  0.237  0.826  0.243 x4
Li  0.242  0.990  0.754 x4
Cu  0.000  0.320  0.000 x2
Cu  0.000  0.500  0.500 x2
Cu  0.000  0.828  0.500 x2
Cu  0.245  0.158  0.248 x4
Sb  0.000  0.165  0.500 x2
Sb  0.000  0.661  0.000 x2
O  0.099  0.005  0.368 x4
O  0.103  0.329  0.374 x4
O  0.106  0.812  0.864 x4
O  0.114  0.490  0.880 x4
O  0.179  0.663  0.402 x4
O  0.181  0.162  0.901 x4

Principal peaks in the range 10 to 90 degrees two-theta, low angle first:
2θ/deg	d_spacing	Rel. int.
17.95	4.942	79.7
20.38	4.357	54.3
20.92	4.247	87.1
35.69	2.516	51.1
36.01	2.494	51.5
36.97	2.432	78.8
44.10	2.054	100.0
58.40	1.580	37.0
59.32	1.558	33.9
64.13	1.452	32.9



Entry 2:
Diffraction record for HfOs3. The X-ray powder pattern is calculated, not measured: it uses a DFT-relaxed cell (GGA-PBE, the Materials Project) and λ = 1.5418 Å (Cu Kα).

Atomic structure:
a = 3.974 Å, b = 3.974 Å, c = 3.974 Å
α = 90.00°, β = 90.00°, γ = 90.00°
Space group Pm-3m (No. 221)
Unique sites:
Hf  0.000  0.000  0.000 x1
Os  0.000  0.500  0.500 x3

Principal peaks in the range 10 to 90 degrees two-theta, low angle first:
2θ/deg	d_spacing	Rel. int.
39.27	2.294	100.0
45.66	1.987	49.2
66.56	1.405	32.3
80.10	1.198	38.9
84.46	1.147	11.5



Entry 3:
Diffraction record for Ge2Sb2Te5. The X-ray powder pattern is calculated, not measured: it uses a DFT-relaxed cell (GGA-PBE, the Materials Project) and λ = 1.5418 Å (Cu Kα).

Atomic structure:
a = 13.678 Å, b = 6.132 Å, c = 9.672 Å
α = 90.00°, β = 134.93°, γ = 90.00°
Space group Cm (No. 8)
Unique sites:
Ge  0.000  0.000  0.000 x2
Ge  0.213  0.000  0.823 x2
Sb  0.117  0.500  0.400 x2
Sb  0.328  0.500  0.230 x2
Te  0.011  0.500  0.008 x2
Te  0.116  0.000  0.409 x2
Te  0.224  0.500  0.819 x2
Te  0.310  0.000  0.199 x2
Te  0.422  0.500  0.622 x2

Principal peaks in the range 10 to 90 degrees two-theta, low angle first:
2θ/deg	d_spacing	Rel. int.
17.12	5.180	7.3
25.19	3.536	11.2
29.16	3.062	100.0
41.71	2.165	74.7
51.70	1.768	26.3
60.50	1.530	7.6
68.48	1.370	21.5
68.58	1.368	10.3
76.10	1.251	15.7
76.22	1.249	7.6



Entry 4:
Diffraction record for TeMoS. The X-ray powder pattern is calculated, not measured: it uses a DFT-relaxed cell (GGA-PBE, the Materials Project) and λ = 1.5418 Å (Cu Kα).

Atomic structure:
a = 3.3602 Å, b = 3.3602 Å, c = 23.8694 Å
α = 90.00°, β = 90.00°, γ = 120.00°
Space group P3m1 (No. 156)
Unique sites:
Te  0.0000  0.0000  0.0000 x1
Te  0.0000  0.0000  0.1584 x1
Mo  0.0000  0.0000  0.7783 x1
Mo  0.3333  0.6667  0.0793 x1
S  0.3333  0.6667  0.7149 x1
S  0.3333  0.6667  0.8417 x1

Principal peaks in the range 10 to 90 degrees two-theta, low angle first:
2θ/deg	d_spacing	Rel. int.
11.12	7.956	100.0
30.72	2.910	45.2
30.96	2.889	32.5
34.28	2.616	23.2
36.15	2.485	90.3
38.32	2.349	45.7
40.76	2.214	19.6
43.44	2.083	48.8
54.63	1.680	24.6
54.77	1.676	17.8



Entry 5:
Diffraction record for RbV5Se8. The X-ray powder pattern is calculated, not measured: it uses a DFT-relaxed cell (GGA-PBE, the Materials Project) and λ = 1.5418 Å (Cu Kα).

Atomic structure:
a = 18.807 Å, b = 3.707 Å, c = 9.021 Å
α = 90.00°, β = 104.09°, γ = 90.00°
Space group C2/m (No. 12)
Unique sites:
Rb  0.000  0.000  0.000 x2
V  0.000  0.500  0.500 x2
V  0.151  0.000  0.490 x4
V  0.212  0.000  0.846 x4
Se  0.072  0.000  0.671 x4
Se  0.088  0.500  0.323 x4
Se  0.164  0.500  0.987 x4
Se  0.239  0.500  0.655 x4

Principal peaks in the range 10 to 90 degrees two-theta, low angle first:
2θ/deg	d_spacing	Rel. int.
30.65	2.916	25.6
31.24	2.863	100.0
31.48	2.842	48.7
32.75	2.734	63.9
33.47	2.677	27.5
37.10	2.423	23.0
39.26	2.295	37.6
44.82	2.022	31.6
49.15	1.854	29.4
50.11	1.820	50.0



Entry 6:
Diffraction record for CdPd3. The X-ray powder pattern is calculated, not measured: it uses a DFT-relaxed cell (GGA-PBE, the Materials Project) and λ = 1.5418 Å (Cu Kα).

Atomic structure:
a = 4.041 Å, b = 4.041 Å, c = 4.041 Å
α = 90.00°, β = 90.00°, γ = 90.00°
Space group Pm-3m (No. 221)
Unique sites:
Cd  0.000  0.000  0.000 x1
Pd  0.000  0.500  0.500 x3

Principal peaks in the range 10 to 90 degrees two-theta, low angle first:
2θ/deg	d_spacing	Rel. int.
38.59	2.333	100.0
44.86	2.021	48.5
65.31	1.429	30.6
78.50	1.218	35.9
82.73	1.167	10.5



Entry 7:
Diffraction record for CuO. The X-ray powder pattern is calculated, not measured: it uses a DFT-relaxed cell (GGA-PBE, the Materials Project) and λ = 1.5418 Å (Cu Kα).

Atomic structure:
a = 3.982 Å, b = 4.307 Å, c = 5.156 Å
α = 90.00°, β = 90.00°, γ = 90.00°
Space group Cccm (No. 66)
Unique sites:
Cu  0.250  0.250  0.000 x4
O  0.000  0.000  0.250 x4

Principal peaks in the range 10 to 90 degrees two-theta, low angle first:
2θ/deg	d_spacing	Rel. int.
34.80	2.578	15.0
35.29	2.543	100.0
41.95	2.154	9.0
45.56	1.991	7.2
55.61	1.653	18.2
58.58	1.576	15.2
62.71	1.482	16.8
63.65	1.462	11.4
72.32	1.307	10.6
77.49	1.232	8.6